Record 1
Starting from a crystal structure in the Materials Project, relaxed with GGA-PBE, the powder X-ray diffraction pattern of EuU2S5 was simulated for CuKα.
Peak positions follow from Bragg's law for the DFT cell and can differ from measured ones.

Crystal structure
Cell: 12.032 7.996 7.423 Å, 90.00 90.00 90.00°
Atoms (fractional coordinates):
Eu: 0.007 0.250 0.076
Eu: 0.493 0.750 0.576
Eu: 0.507 0.250 0.424
Eu: 0.993 0.750 0.924
U: 0.182 0.002 0.513
U: 0.182 0.498 0.513
U: 0.318 0.502 0.013
U: 0.318 0.998 0.013
U: 0.682 0.002 0.987
U: 0.682 0.498 0.987
U: 0.818 0.502 0.487
U: 0.818 0.998 0.487
S: 0.001 0.250 0.472
S: 0.112 0.544 0.170
S: 0.112 0.956 0.170
S: 0.189 0.250 0.824
S: 0.217 0.750 0.795
S: 0.283 0.250 0.295
S: 0.311 0.750 0.324
S: 0.388 0.044 0.670
S: 0.388 0.456 0.670
S: 0.499 0.750 0.972
S: 0.501 0.250 0.028
S: 0.612 0.544 0.330
S: 0.612 0.956 0.330
S: 0.689 0.250 0.676
S: 0.717 0.750 0.705
S: 0.783 0.250 0.205
S: 0.811 0.750 0.176
S: 0.888 0.044 0.830
S: 0.888 0.456 0.830
S: 0.999 0.750 0.528

Largest 8 diffraction maxima, in order of rising 2θ, 2θ = 10–90°:
hkl, 2θ/deg, I/Imax
0 0 2, 24.0, 53
3 0 1, 25.2, 100
1 2 1, 26.4, 55
2 2 0, 26.8, 62
3 2 1, 33.9, 51
2 2 2, 36.2, 68
5 2 1, 45.7, 50
8 2 2, 71.7, 34

---

Record 2
Starting from a crystal structure in the Materials Project, relaxed with GGA-PBE, the powder X-ray diffraction pattern of Eu5Zr3S12 was simulated for CuKα.
Peak positions follow from Bragg's law for the DFT cell and can differ from measured ones.

Crystal structure
Cell: 11.728 11.728 3.913 Å, 90.00 90.00 120.00°
Atoms (fractional coordinates):
Eu: 0.000 0.716 0.000
Eu: 0.284 0.284 0.000
Eu: 0.333 0.667 0.000
Eu: 0.667 0.333 0.000
Eu: 0.716 0.000 0.000
Zr: 0.000 0.326 0.500
Zr: 0.326 0.000 0.500
Zr: 0.674 0.674 0.500
S: 0.000 0.178 0.000
S: 0.000 0.469 0.000
S: 0.178 0.000 0.000
S: 0.195 0.748 0.500
S: 0.252 0.447 0.500
S: 0.447 0.252 0.500
S: 0.469 0.000 0.000
S: 0.531 0.531 0.000
S: 0.553 0.805 0.500
S: 0.748 0.195 0.500
S: 0.805 0.553 0.500
S: 0.822 0.822 0.000

Largest 8 diffraction maxima, in order of rising 2θ, 2θ = 10–90°:
hkl, 2θ/deg, I/Imax
3 0 0, 26.3, 100
1 1 1, 27.4, 93
2 1 1, 32.7, 81
2 2 1, 38.4, 62
3 2 1, 45.3, 34
0 0 2, 46.4, 47
4 1 1, 47.1, 48
3 0 2, 54.2, 40

---

Record 3
Starting from a crystal structure in the Materials Project, relaxed with GGA-PBE, the powder X-ray diffraction pattern of Eu2Sb3 was simulated for CuKα.
Peak positions follow from Bragg's law for the DFT cell and can differ from measured ones.

Crystal structure
Cell: 13.147 6.424 19.869 Å, 90.00 131.32 90.00°
Atoms (fractional coordinates):
Eu: 0.000 0.049 0.250
Eu: 0.000 0.951 0.750
Eu: 0.126 0.249 0.503
Eu: 0.126 0.751 0.003
Eu: 0.247 0.450 0.251
Eu: 0.247 0.550 0.751
Eu: 0.375 0.255 0.001
Eu: 0.375 0.745 0.501
Eu: 0.500 0.070 0.250
Eu: 0.500 0.930 0.750
Eu: 0.625 0.255 0.499
Eu: 0.625 0.745 0.999
Eu: 0.753 0.450 0.249
Eu: 0.753 0.550 0.749
Eu: 0.874 0.249 0.997
Eu: 0.874 0.751 0.497
Sb: 0.067 0.431 0.847
Sb: 0.067 0.569 0.347
Sb: 0.134 0.062 0.661
Sb: 0.134 0.938 0.161
Sb: 0.191 0.245 0.070
Sb: 0.191 0.755 0.570
Sb: 0.301 0.252 0.429
Sb: 0.301 0.748 0.929
Sb: 0.391 0.086 0.851
Sb: 0.391 0.914 0.351
Sb: 0.441 0.416 0.656
Sb: 0.441 0.584 0.156
Sb: 0.559 0.416 0.844
Sb: 0.559 0.584 0.344
Sb: 0.609 0.086 0.649
Sb: 0.609 0.914 0.149
Sb: 0.699 0.252 0.071
Sb: 0.699 0.748 0.571
Sb: 0.809 0.245 0.430
Sb: 0.809 0.755 0.930
Sb: 0.866 0.062 0.839
Sb: 0.866 0.938 0.339
Sb: 0.933 0.431 0.653
Sb: 0.933 0.569 0.153

Largest 8 diffraction maxima, in order of rising 2θ, 2θ = 10–90°:
hkl, 2θ/deg, I/Imax
2 1 -5, 26.4, 38
4 0 -2, 29.7, 100
0 2 2, 30.3, 77
2 1 2, 30.9, 76
2 2 -3, 31.6, 52
0 1 5, 33.1, 25
2 1 3, 35.9, 30
4 2 -4, 39.2, 58

---

Record 4
Starting from a crystal structure in the Materials Project, relaxed with GGA-PBE, the powder X-ray diffraction pattern of Eu3Sb was simulated for CuKα.
Peak positions follow from Bragg's law for the DFT cell and can differ from measured ones.

Crystal structure
Cell: 7.235 7.235 5.777 Å, 90.00 90.00 120.00°
Atoms (fractional coordinates):
Eu: 0.175 0.350 0.250
Eu: 0.175 0.825 0.250
Eu: 0.350 0.175 0.750
Eu: 0.650 0.825 0.250
Eu: 0.825 0.175 0.750
Eu: 0.825 0.650 0.750
Sb: 0.333 0.667 0.750
Sb: 0.667 0.333 0.250

Largest 8 diffraction maxima, in order of rising 2θ, 2θ = 10–90°:
hkl, 2θ/deg, I/Imax
2 0 0, 28.5, 23
0 0 2, 31.0, 26
2 0 1, 32.5, 100
2 0 2, 42.6, 16
2 2 0, 50.5, 19
2 0 3, 56.1, 21
2 2 2, 60.4, 22
4 0 1, 61.3, 15

---

Record 5
Starting from a crystal structure in the Materials Project, relaxed with GGA-PBE, the powder X-ray diffraction pattern of Eu2Sb3 was simulated for CuKα.
Peak positions follow from Bragg's law for the DFT cell and can differ from measured ones.

Crystal structure
Cell: 6.614 12.637 14.850 Å, 90.00 90.01 90.00°
Atoms (fractional coordinates):
Eu: 0.001 0.221 0.254
Eu: 0.001 0.279 0.754
Eu: 0.249 0.627 0.996
Eu: 0.249 0.873 0.496
Eu: 0.252 0.124 0.002
Eu: 0.252 0.376 0.502
Eu: 0.498 0.028 0.248
Eu: 0.498 0.472 0.748
Eu: 0.502 0.528 0.252
Eu: 0.502 0.972 0.752
Eu: 0.748 0.624 0.498
Eu: 0.748 0.876 0.998
Eu: 0.751 0.127 0.504
Eu: 0.751 0.373 0.004
Eu: 0.999 0.721 0.246
Eu: 0.999 0.779 0.746
Sb: 0.051 0.537 0.658
Sb: 0.051 0.963 0.158
Sb: 0.077 0.042 0.651
Sb: 0.077 0.458 0.151
Sb: 0.244 0.622 0.430
Sb: 0.244 0.878 0.930
Sb: 0.255 0.127 0.431
Sb: 0.255 0.373 0.931
Sb: 0.427 0.207 0.655
Sb: 0.427 0.293 0.155
Sb: 0.443 0.714 0.655
Sb: 0.443 0.786 0.155
Sb: 0.557 0.214 0.845
Sb: 0.557 0.286 0.345
Sb: 0.573 0.707 0.845
Sb: 0.573 0.793 0.345
Sb: 0.745 0.627 0.069
Sb: 0.745 0.873 0.569
Sb: 0.756 0.122 0.070
Sb: 0.756 0.378 0.570
Sb: 0.923 0.542 0.849
Sb: 0.923 0.958 0.349
Sb: 0.949 0.037 0.842
Sb: 0.949 0.463 0.342

Largest 8 diffraction maxima, in order of rising 2θ, 2θ = 10–90°:
hkl, 2θ/deg, I/Imax
1 2 -3, 26.6, 36
2 0 -2, 29.6, 100
0 4 2, 30.8, 71
1 2 4, 31.0, 76
1 4 1, 32.0, 53
1 2 5, 36.1, 28
2 4 0, 39.4, 54
1 2 6, 41.5, 41

---

Record 6
Starting from a crystal structure in the Materials Project, relaxed with GGA-PBE, the powder X-ray diffraction pattern of Eu16Sb11 was simulated for CuKα.
Peak positions follow from Bragg's law for the DFT cell and can differ from measured ones.

Crystal structure
Cell: 12.720 12.741 11.761 Å, 90.00 90.00 90.00°
Atoms (fractional coordinates):
Eu: 0.000 0.000 0.147
Eu: 0.000 0.000 0.791
Eu: 0.069 0.295 0.312
Eu: 0.074 0.291 0.707
Eu: 0.089 0.707 0.998
Eu: 0.134 0.866 0.499
Eu: 0.200 0.568 0.682
Eu: 0.207 0.412 0.001
Eu: 0.208 0.574 0.293
Eu: 0.292 0.074 0.707
Eu: 0.293 0.912 0.999
Eu: 0.300 0.068 0.318
Eu: 0.366 0.366 0.501
Eu: 0.411 0.207 0.002
Eu: 0.426 0.791 0.293
Eu: 0.431 0.795 0.688
Eu: 0.500 0.500 0.209
Eu: 0.500 0.500 0.853
Eu: 0.569 0.205 0.688
Eu: 0.574 0.209 0.293
Eu: 0.589 0.793 0.002
Eu: 0.634 0.634 0.501
Eu: 0.700 0.932 0.318
Eu: 0.707 0.088 0.999
Eu: 0.708 0.926 0.707
Eu: 0.792 0.426 0.293
Eu: 0.793 0.588 0.001
Eu: 0.800 0.432 0.682
Eu: 0.866 0.134 0.499
Eu: 0.911 0.293 0.998
Eu: 0.926 0.709 0.707
Eu: 0.931 0.705 0.312
Sb: 0.000 0.500 0.148
Sb: 0.000 0.500 0.497
Sb: 0.000 0.500 0.847
Sb: 0.124 0.124 0.511
Sb: 0.144 0.144 0.969
Sb: 0.168 0.833 0.234
Sb: 0.179 0.819 0.763
Sb: 0.321 0.319 0.237
Sb: 0.332 0.333 0.766
Sb: 0.356 0.644 0.031
Sb: 0.376 0.624 0.489
Sb: 0.500 0.000 0.153
Sb: 0.500 0.000 0.503
Sb: 0.500 0.000 0.852
Sb: 0.624 0.376 0.489
Sb: 0.644 0.356 0.031
Sb: 0.668 0.667 0.766
Sb: 0.679 0.681 0.237
Sb: 0.821 0.181 0.763
Sb: 0.832 0.167 0.234
Sb: 0.856 0.856 0.969
Sb: 0.876 0.876 0.511

Largest 8 diffraction maxima, in order of rising 2θ, 2θ = 10–90°:
hkl, 2θ/deg, I/Imax
2 3 1, 26.4, 38
2 3 2, 29.5, 50
1 4 1, 29.9, 35
2 2 3, 30.2, 62
2 4 0, 31.4, 49
3 1 3, 31.9, 38
4 1 2, 32.8, 100
0 0 6, 46.4, 30

---

Record 7
Starting from a crystal structure in the Materials Project, relaxed with GGA-PBE, the powder X-ray diffraction pattern of EuSb2Se4 was simulated for CuKα.
Peak positions follow from Bragg's law for the DFT cell and can differ from measured ones.

Crystal structure
Cell: 12.279 4.154 15.263 Å, 90.00 90.00 90.00°
Atoms (fractional coordinates):
Eu: 0.248 0.250 0.158
Eu: 0.252 0.750 0.658
Eu: 0.748 0.250 0.342
Eu: 0.752 0.750 0.842
Sb: 0.064 0.750 0.396
Sb: 0.090 0.750 0.893
Sb: 0.410 0.250 0.393
Sb: 0.436 0.250 0.896
Sb: 0.564 0.750 0.104
Sb: 0.590 0.750 0.607
Sb: 0.910 0.250 0.107
Sb: 0.936 0.250 0.604
Se: 0.004 0.750 0.715
Se: 0.073 0.750 0.087
Se: 0.149 0.250 0.524
Se: 0.227 0.250 0.814
Se: 0.273 0.750 0.314
Se: 0.351 0.750 0.024
Se: 0.427 0.250 0.587
Se: 0.496 0.250 0.215
Se: 0.504 0.750 0.785
Se: 0.573 0.750 0.413
Se: 0.649 0.250 0.976
Se: 0.727 0.250 0.686
Se: 0.773 0.750 0.186
Se: 0.851 0.750 0.476
Se: 0.927 0.250 0.913
Se: 0.996 0.250 0.285

Largest 8 diffraction maxima, in order of rising 2θ, 2θ = 10–90°:
hkl, 2θ/deg, I/Imax
3 0 2, 24.7, 54
1 1 3, 28.7, 100
3 1 1, 31.2, 47
4 0 2, 31.4, 76
2 1 4, 35.1, 57
4 1 0, 36.4, 56
2 0 6, 38.3, 50
0 2 0, 43.6, 71

---

Please write out number 4 again, unchanged.
Starting from a crystal structure in the Materials Project, relaxed with GGA-PBE, the powder X-ray diffraction pattern of Eu3Sb was simulated for CuKα.
Peak positions follow from Bragg's law for the DFT cell and can differ from measured ones.

Crystal structure
Cell: 7.235 7.235 5.777 Å, 90.00 90.00 120.00°
Atoms (fractional coordinates):
Eu: 0.175 0.350 0.250
Eu: 0.175 0.825 0.250
Eu: 0.350 0.175 0.750
Eu: 0.650 0.825 0.250
Eu: 0.825 0.175 0.750
Eu: 0.825 0.650 0.750
Sb: 0.333 0.667 0.750
Sb: 0.667 0.333 0.250

Largest 8 diffraction maxima, in order of rising 2θ, 2θ = 10–90°:
hkl, 2θ/deg, I/Imax
2 0 0, 28.5, 23
0 0 2, 31.0, 26
2 0 1, 32.5, 100
2 0 2, 42.6, 16
2 2 0, 50.5, 19
2 0 3, 56.1, 21
2 2 2, 60.4, 22
4 0 1, 61.3, 15